# La7Zn2N2
Computed powder XRD pattern, Cu Kα, 1.54184 Å. Input: a PBE-relaxed structure.
No peak broadening, texture or thermal motion is included.

Structure:
```
data_La7Zn2N2
_chemical_formula_sum 'La7 Zn2 N2'
_cell_length_a 6.9266
_cell_length_b 6.9266
_cell_length_c 6.7071
_cell_angle_alpha 94.43
_cell_angle_beta 94.43
_cell_angle_gamma 64.77
_symmetry_space_group_name_H-M 'P 1'
_symmetry_Int_Tables_number 1
loop_
_symmetry_equiv_pos_as_xyz
'x,y,z'
loop_
_atom_site_label
_atom_site_type_symbol
_atom_site_fract_x
_atom_site_fract_y
_atom_site_fract_z
_atom_site_occupancy
La1 La 0.0000 0.0000 0.0000 1
La2 La 0.0423 0.4979 0.7573 1
La3 La 0.4398 0.4398 0.2095 1
La4 La 0.4979 0.0423 0.7573 1
La5 La 0.5021 0.9577 0.2427 1
La6 La 0.5602 0.5602 0.7905 1
La7 La 0.9577 0.5021 0.2427 1
Zn1 Zn 0.1662 0.8338 0.5000 1
Zn2 Zn 0.8338 0.1662 0.5000 1
N1 N 0.2265 0.2265 0.0207 1
N2 N 0.7735 0.7735 0.9793 1
```

The 6 most intense peaks (2θ from 15° to 90°), in order of rising 2θ:
d 3.129, 28.52 deg, I = 100.0; d 3.008, 29.70 deg, I = 39.6; d 2.912, 30.70 deg, I = 47.3; d 2.785, 32.14 deg, I = 73.1; d 2.342, 38.44 deg, I = 44.3; d 2.289, 39.36 deg, I = 31.9